LaTlV2: computed PXRD pattern (Cu Kα (weighted mean of Kα1 and Kα2)), based on a GGA-PBE-relaxed structure.
Peak positions follow from Bragg's law for the DFT cell and can differ from measured ones.

Most intense lines, 15 to 90 degrees two-theta, sorted by position:
Position (°2θ), intensity, h k l
21.5, 5, 1 1 1
24.9, 35, 2 0 0
35.5, 100, 2 2 0
41.8, 3, 3 1 1
43.8, 11, 2 2 2
51.0, 18, 4 0 0
56.0, 1, 3 3 1
57.6, 15, 4 2 0
63.7, 36, 4 2 2
75.0, 11, 4 4 0
80.5, 8, 6 0 0
85.8, 16, 6 2 0

Structural model:
```
data_LaTlV2
_chemical_formula_sum 'La4 Tl4 V8'
_cell_length_a 7.161
_cell_length_b 7.161
_cell_length_c 7.161
_cell_angle_alpha 90.00
_cell_angle_beta 90.00
_cell_angle_gamma 90.00
_symmetry_space_group_name_H-M 'F m -3 m'
_symmetry_Int_Tables_number 225
_symmetry_space_group_name_Hall '-F 4 2 3'
loop_
_atom_site_label
_atom_site_fract_x
_atom_site_fract_y
_atom_site_fract_z
_atom_site_occupancy
La1 0.000 0.000 0.000 1
Tl1 0.000 0.000 0.500 1
V1 0.250 0.250 0.250 1
```

Nd5InPt2: computed PXRD pattern (Cu Kα (weighted mean of Kα1 and Kα2)), based on a GGA-PBE-relaxed structure.
Peak positions follow from Bragg's law for the DFT cell and can differ from measured ones.

Most intense lines, 15 to 90 degrees two-theta, sorted by position:
Position (°2θ), intensity, h k l
30.1, 8, 1 1 4
31.2, 8, 2 2 0
31.3, 100, 2 1 3
34.0, 19, 2 0 4
35.0, 51, 3 1 0
40.9, 22, 2 1 5
50.4, 16, 4 2 0
52.7, 8, 0 0 8
64.9, 14, 3 1 8
65.1, 21, 4 4 0
71.2, 8, 5 2 5
80.6, 8, 2 1 11

Structural model:
```
data_Nd5InPt2
_chemical_formula_sum 'Nd20 In4 Pt8'
_cell_length_a 8.107
_cell_length_b 8.107
_cell_length_c 13.885
_cell_angle_alpha 90.00
_cell_angle_beta 90.00
_cell_angle_gamma 90.00
_symmetry_space_group_name_H-M 'I 4/m c m'
_symmetry_Int_Tables_number 140
_symmetry_space_group_name_Hall '-I 4 2c'
loop_
_atom_site_label
_atom_site_fract_x
_atom_site_fract_y
_atom_site_fract_z
_atom_site_occupancy
Nd1 0.000 0.000 0.000 1
Nd2 0.160 0.340 0.138 1
In1 0.000 0.000 0.250 1
Pt1 0.134 0.366 0.500 1
```

What did the first record say?
LaTlV2: computed PXRD pattern (Cu Kα (weighted mean of Kα1 and Kα2)), based on a GGA-PBE-relaxed structure.
Peak positions follow from Bragg's law for the DFT cell and can differ from measured ones.

Most intense lines, 15 to 90 degrees two-theta, sorted by position:
Position (°2θ), intensity, h k l
21.5, 5, 1 1 1
24.9, 35, 2 0 0
35.5, 100, 2 2 0
41.8, 3, 3 1 1
43.8, 11, 2 2 2
51.0, 18, 4 0 0
56.0, 1, 3 3 1
57.6, 15, 4 2 0
63.7, 36, 4 2 2
75.0, 11, 4 4 0
80.5, 8, 6 0 0
85.8, 16, 6 2 0

Structural model:
```
data_LaTlV2
_chemical_formula_sum 'La4 Tl4 V8'
_cell_length_a 7.161
_cell_length_b 7.161
_cell_length_c 7.161
_cell_angle_alpha 90.00
_cell_angle_beta 90.00
_cell_angle_gamma 90.00
_symmetry_space_group_name_H-M 'F m -3 m'
_symmetry_Int_Tables_number 225
_symmetry_space_group_name_Hall '-F 4 2 3'
loop_
_atom_site_label
_atom_site_fract_x
_atom_site_fract_y
_atom_site_fract_z
_atom_site_occupancy
La1 0.000 0.000 0.000 1
Tl1 0.000 0.000 0.500 1
V1 0.250 0.250 0.250 1
```

What did the first record say?
LaTlV2: computed PXRD pattern (Cu Kα (weighted mean of Kα1 and Kα2)), based on a GGA-PBE-relaxed structure.
Peak positions follow from Bragg's law for the DFT cell and can differ from measured ones.

Most intense lines, 15 to 90 degrees two-theta, sorted by position:
Position (°2θ), intensity, h k l
21.5, 5, 1 1 1
24.9, 35, 2 0 0
35.5, 100, 2 2 0
41.8, 3, 3 1 1
43.8, 11, 2 2 2
51.0, 18, 4 0 0
56.0, 1, 3 3 1
57.6, 15, 4 2 0
63.7, 36, 4 2 2
75.0, 11, 4 4 0
80.5, 8, 6 0 0
85.8, 16, 6 2 0

Structural model:
```
data_LaTlV2
_chemical_formula_sum 'La4 Tl4 V8'
_cell_length_a 7.161
_cell_length_b 7.161
_cell_length_c 7.161
_cell_angle_alpha 90.00
_cell_angle_beta 90.00
_cell_angle_gamma 90.00
_symmetry_space_group_name_H-M 'F m -3 m'
_symmetry_Int_Tables_number 225
_symmetry_space_group_name_Hall '-F 4 2 3'
loop_
_atom_site_label
_atom_site_fract_x
_atom_site_fract_y
_atom_site_fract_z
_atom_site_occupancy
La1 0.000 0.000 0.000 1
Tl1 0.000 0.000 0.500 1
V1 0.250 0.250 0.250 1
```